This entry pairs a crystal structure of SrCaNiP2O8 with its calculated powder diffractogram. Radiation: Cu Kα, 1.54184 Å. Structure: a cell relaxed with GGA+U.

Crystal structure
Lattice parameters (Å, degrees): 5.698 6.933 9.428 109.19 101.53 98.69
Sites, in units of the cell vectors:
Sr (0.233, 0.192, 0.437)
Sr (0.767, 0.808, 0.563)
Ca (0.492, 0.576, 0.836)
Ca (0.508, 0.424, 0.164)
Ni (0.146, 0.852, 0.059)
Ni (0.854, 0.148, 0.941)
P (0.111, 0.584, 0.275)
P (0.340, 0.034, 0.801)
P (0.660, 0.966, 0.199)
P (0.889, 0.416, 0.725)
O (0.079, 0.411, 0.111)
O (0.114, 0.453, 0.662)
O (0.131, 0.968, 0.875)
O (0.152, 0.801, 0.259)
O (0.231, 0.005, 0.632)
O (0.348, 0.563, 0.380)
O (0.461, 0.100, 0.190)
O (0.488, 0.265, 0.907)
O (0.512, 0.735, 0.093)
O (0.539, 0.900, 0.810)
O (0.652, 0.437, 0.620)
O (0.769, 0.995, 0.368)
O (0.848, 0.199, 0.741)
O (0.869, 0.032, 0.125)
O (0.886, 0.547, 0.338)
O (0.921, 0.589, 0.889)

Top 10 peaks for 10° ≤ 2θ ≤ 90°, by angle:
d/Å, 2θ (°), I (rel.), (hkl)
4.058, 21.90, 26, -1 1 1
3.182, 28.04, 100, 0 2 -2
3.003, 29.75, 63, 1 1 1
2.865, 31.22, 48, 1 0 -3
2.812, 31.82, 39, 2 0 -1
2.738, 32.70, 29, 2 -1 0
2.724, 32.88, 44, -1 2 1
1.967, 46.14, 23, 1 3 -1
1.838, 49.59, 20, 0 1 4
1.808, 50.49, 23, 1 2 -5